Entry 1:
Starting from a GGA-PBE-relaxed structure, the powder X-ray diffraction pattern of HfPaNbCu was computed for Cu Ka.
Peak positions follow from Bragg's law for the DFT cell and can differ from measured ones.

The 6 most intense peaks (5° ≤ 2θ ≤ 70°), sorted by position:
2θ/deg, intensity, hkl
26.13, 21, 2 0 0
37.28, 100, 2 2 0
46.09, 7, 2 2 2
53.75, 17, 4 0 0
60.72, 9, 4 2 0
67.24, 36, 4 2 2

Structure:
Cell: 6.821 6.821 6.821 Å, 90.00 90.00 90.00°
Space group F-43m (No. 216)
Asymmetric unit:
Hf1 0.000 0.000 0.000 x4
Pa1 0.000 0.000 0.500 x4
Nb1 0.250 0.250 0.250 x4
Cu1 0.250 0.250 0.750 x4

---

Entry 2:
Starting from a GGA-PBE-relaxed structure, the powder X-ray diffraction pattern of Tb4Nd2Ho5 was computed for Cu Ka.
Peak positions follow from Bragg's law for the DFT cell and can differ from measured ones.

The 6 most intense peaks (5° ≤ 2θ ≤ 70°), sorted by position:
2θ/deg, intensity, hkl
30.40, 45, 0 2 6
30.84, 37, 0 0 8
31.81, 66, 0 3 3
32.57, 100, 1 2 1
37.39, 45, 1 0 7
42.53, 35, 1 3 4

Structure:
Cell: 3.498 9.059 23.193 Å, 90.00 90.00 90.00°
Space group Immm (No. 71)
Asymmetric unit:
Tb1 0.000 0.000 0.097 x4
Tb2 0.000 0.307 0.500 x4
Nd1 0.000 0.000 0.232 x4
Ho1 0.000 0.194 0.358 x8
Ho2 0.000 0.500 0.000 x2

---

Entry 3:
Starting from a GGA-PBE-relaxed structure, the powder X-ray diffraction pattern of Tc3Br was computed for Cu Ka.
Peak positions follow from Bragg's law for the DFT cell and can differ from measured ones.

The 6 most intense peaks (5° ≤ 2θ ≤ 70°), sorted by position:
2θ/deg, intensity, hkl
12.49, 3, 0 0 1
39.66, 100, 1 0 2
43.20, 39, 1 1 0
51.59, 11, 0 0 4
62.74, 13, 2 0 0
69.50, 18, 1 1 4

Structure:
Cell: 2.962 2.962 7.086 Å, 90.00 90.00 90.00°
Space group P4/mmm (No. 123)
Asymmetric unit:
Tc1 0.000 0.000 0.000 x1
Tc2 0.500 0.500 0.238 x2
Br1 0.000 0.000 0.500 x1